Starting from a crystal structure in the Materials Project, relaxed with GGA-PBE, the powder X-ray diffraction pattern of DyNiSb2 was computed for CuKα.
Kinematic intensities with the Lorentz-polarization factor, no thermal factor.

Most intense lines, 2θ = 10–90°, most intense first:
Position (°2θ)  I (rel.)
34.9  100
41.3  52
35.6  30
71.1  24
30.5  21
55.6  17
28.9  16
59.8  16
53.8  15
69.9  14

Cell and atoms:
```
data_DyNiSb2
_chemical_formula_sum 'Dy2 Ni2 Sb4'
_cell_length_a 4.377
_cell_length_b 4.377
_cell_length_c 9.257
_cell_angle_alpha 90.00
_cell_angle_beta 90.00
_cell_angle_gamma 90.00
_symmetry_space_group_name_H-M 'P 1'
_symmetry_Int_Tables_number 1
_symmetry_space_group_name_Hall 'P 1'
loop_
_atom_site_label
_atom_site_type_symbol
_atom_site_fract_x
_atom_site_fract_y
_atom_site_fract_z
_atom_site_occupancy
Dy1 Dy 0.250 0.250 0.240 1
Dy2 Dy 0.750 0.750 0.760 1
Ni1 Ni 0.250 0.750 0.000 1
Ni2 Ni 0.750 0.250 0.000 1
Sb1 Sb 0.250 0.250 0.857 1
Sb2 Sb 0.250 0.750 0.500 1
Sb3 Sb 0.750 0.250 0.500 1
Sb4 Sb 0.750 0.750 0.143 1
```

---

Starting from a crystal structure in the Materials Project, relaxed with GGA-PBE, the powder X-ray diffraction pattern of BNCl was computed for CuKα.
Kinematic intensities with the Lorentz-polarization factor, no thermal factor.

Most intense lines, 2θ = 10–90°, most intense first:
Position (°2θ)  I (rel.)
25.0  100
22.9  50
29.1  26
24.8  20
36.2  16
51.4  16
28.7  16
25.7  14
26.0  12
38.7  11

Cell and atoms:
```
data_BNCl
_chemical_formula_sum 'B12 N12 Cl12'
_cell_length_a 14.333
_cell_length_b 13.830
_cell_length_c 4.100
_cell_angle_alpha 90.00
_cell_angle_beta 90.00
_cell_angle_gamma 90.00
_symmetry_space_group_name_H-M 'P 1'
_symmetry_Int_Tables_number 1
_symmetry_space_group_name_Hall 'P 1'
loop_
_atom_site_label
_atom_site_type_symbol
_atom_site_fract_x
_atom_site_fract_y
_atom_site_fract_z
_atom_site_occupancy
B1 B 0.060 0.250 0.053 1
B2 B 0.080 0.657 0.200 1
B3 B 0.080 0.843 0.200 1
B4 B 0.420 0.157 0.700 1
B5 B 0.420 0.343 0.700 1
B6 B 0.440 0.750 0.553 1
B7 B 0.560 0.250 0.447 1
B8 B 0.580 0.657 0.300 1
B9 B 0.580 0.843 0.300 1
B10 B 0.920 0.157 0.800 1
B11 B 0.920 0.343 0.800 1
B12 B 0.940 0.750 0.947 1
N1 N 0.009 0.165 0.963 1
N2 N 0.009 0.335 0.963 1
N3 N 0.116 0.750 0.269 1
N4 N 0.384 0.250 0.769 1
N5 N 0.491 0.665 0.463 1
N6 N 0.491 0.835 0.463 1
N7 N 0.509 0.165 0.537 1
N8 N 0.509 0.335 0.537 1
N9 N 0.616 0.750 0.231 1
N10 N 0.884 0.250 0.731 1
N11 N 0.991 0.665 0.037 1
N12 N 0.991 0.835 0.037 1
Cl1 Cl 0.133 0.547 0.299 1
Cl2 Cl 0.133 0.953 0.299 1
Cl3 Cl 0.168 0.250 0.257 1
Cl4 Cl 0.332 0.750 0.757 1
Cl5 Cl 0.367 0.047 0.799 1
Cl6 Cl 0.367 0.453 0.799 1
Cl7 Cl 0.633 0.547 0.201 1
Cl8 Cl 0.633 0.953 0.201 1
Cl9 Cl 0.668 0.250 0.243 1
Cl10 Cl 0.832 0.750 0.743 1
Cl11 Cl 0.867 0.047 0.701 1
Cl12 Cl 0.867 0.453 0.701 1
```

---

Starting from a crystal structure in the Materials Project, relaxed with GGA-PBE, the powder X-ray diffraction pattern of NdMn12 was computed for CuKα.
Kinematic intensities with the Lorentz-polarization factor, no thermal factor.

Most intense lines, 2θ = 10–90°, most intense first:
Position (°2θ)  I (rel.)
43.4  100
44.0  79
43.2  64
30.5  48
37.4  42
49.4  24
72.5  20
38.1  18
79.5  17
79.9  16

Cell and atoms:
```
data_NdMn12
_chemical_formula_sum 'Nd1 Mn12'
_cell_length_a 6.371
_cell_length_b 6.371
_cell_length_c 6.371
_cell_angle_alpha 97.90
_cell_angle_beta 97.90
_cell_angle_gamma 136.48
_symmetry_space_group_name_H-M 'P 1'
_symmetry_Int_Tables_number 1
_symmetry_space_group_name_Hall 'P 1'
loop_
_atom_site_label
_atom_site_type_symbol
_atom_site_fract_x
_atom_site_fract_y
_atom_site_fract_z
_atom_site_occupancy
Nd1 Nd 0.000 0.000 0.000 1
Mn1 Mn 0.000 0.000 0.500 1
Mn2 Mn 0.000 0.367 0.367 1
Mn3 Mn 0.000 0.500 0.000 1
Mn4 Mn 0.000 0.633 0.633 1
Mn5 Mn 0.267 0.500 0.767 1
Mn6 Mn 0.367 0.000 0.367 1
Mn7 Mn 0.500 0.000 0.000 1
Mn8 Mn 0.500 0.267 0.767 1
Mn9 Mn 0.500 0.500 0.500 1
Mn10 Mn 0.500 0.733 0.233 1
Mn11 Mn 0.633 0.000 0.633 1
Mn12 Mn 0.733 0.500 0.233 1
```

---

What did the first record say?
Starting from a crystal structure in the Materials Project, relaxed with GGA-PBE, the powder X-ray diffraction pattern of DyNiSb2 was computed for CuKα.
Kinematic intensities with the Lorentz-polarization factor, no thermal factor.

Most intense lines, 2θ = 10–90°, most intense first:
Position (°2θ)  I (rel.)
34.9  100
41.3  52
35.6  30
71.1  24
30.5  21
55.6  17
28.9  16
59.8  16
53.8  15
69.9  14

Cell and atoms:
```
data_DyNiSb2
_chemical_formula_sum 'Dy2 Ni2 Sb4'
_cell_length_a 4.377
_cell_length_b 4.377
_cell_length_c 9.257
_cell_angle_alpha 90.00
_cell_angle_beta 90.00
_cell_angle_gamma 90.00
_symmetry_space_group_name_H-M 'P 1'
_symmetry_Int_Tables_number 1
_symmetry_space_group_name_Hall 'P 1'
loop_
_atom_site_label
_atom_site_type_symbol
_atom_site_fract_x
_atom_site_fract_y
_atom_site_fract_z
_atom_site_occupancy
Dy1 Dy 0.250 0.250 0.240 1
Dy2 Dy 0.750 0.750 0.760 1
Ni1 Ni 0.250 0.750 0.000 1
Ni2 Ni 0.750 0.250 0.000 1
Sb1 Sb 0.250 0.250 0.857 1
Sb2 Sb 0.250 0.750 0.500 1
Sb3 Sb 0.750 0.250 0.500 1
Sb4 Sb 0.750 0.750 0.143 1
```